1.
Calculated powder diffraction line list
Compound: U2Ti3Ge4
Radiation: a wavelength of 1.5418 Å
Structure: a DFT-relaxed cell (GGA-PBE, the Materials Project)
No peak broadening, texture or thermal motion is included.

Atomic structure:
```
data_U2Ti3Ge4
_symmetry_space_group_name_H-M 'P 1 21/c 1'
_symmetry_Int_Tables_number 14
_cell_length_a 7.1174
_cell_length_b 7.1274
_cell_length_c 7.0195
_cell_angle_alpha 90.00
_cell_angle_beta 110.03
_cell_angle_gamma 90.00
loop_
_symmetry_equiv_pos_as_xyz
'x,y,z'
'-x,-y,-z'
'-x,y+1/2,-z+1/2'
'x,-y+1/2,z+1/2'
loop_
_atom_site_label
_atom_site_type_symbol
_atom_site_fract_x
_atom_site_fract_y
_atom_site_fract_z
U1 U 0.1789 0.1624 0.0571
Ti1 Ti 0.2505 0.6655 0.2504
Ti2 Ti 0.5000 0.0000 0.5000
Ge1 Ge 0.0905 0.5455 0.8629
Ge2 Ge 0.4965 0.1367 0.8611
```

The 10 most intense peaks (10° ≤ 2θ ≤ 80°), low angle first:
Position (°2θ)	I_rel	(hkl)
18.19	52	1 1 0
29.47	37	2 1 0
33.44	100	1 2 1
35.94	72	2 2 -1
36.29	18	2 1 1
36.51	60	1 1 2
40.35	68	0 3 1
40.47	27	3 0 0
40.58	38	1 1 -3
54.67	23	3 3 -1


2.
Calculated powder diffraction line list
Compound: CaEu3
Radiation: a wavelength of 1.5418 Å
Structure: a DFT-relaxed cell (GGA-PBE, the Materials Project)
No peak broadening, texture or thermal motion is included.

Atomic structure:
```
data_CaEu3
_symmetry_space_group_name_H-M 'P 63/m m c'
_symmetry_Int_Tables_number 194
_symmetry_space_group_name_Hall '-P 6c 2c'
_cell_length_a 7.9802
_cell_length_b 7.9802
_cell_length_c 6.4923
_cell_angle_alpha 90.00
_cell_angle_beta 90.00
_cell_angle_gamma 120.00
loop_
_atom_site_label
_atom_site_type_symbol
_atom_site_fract_x
_atom_site_fract_y
_atom_site_fract_z
Ca1 Ca 0.3333 0.6667 0.2500
Eu1 Eu 0.1660 0.3321 0.7500
```

The 10 most intense peaks (10° ≤ 2θ ≤ 80°), low angle first:
Position (°2θ)	I_rel	(hkl)
18.75	13	1 0 1
25.78	23	2 0 0
27.48	26	0 0 2
29.28	100	2 0 1
38.03	17	2 0 2
45.46	20	2 2 0
49.71	23	2 0 3
53.94	24	2 2 2
55.00	17	4 0 1
74.04	15	4 2 1


3.
Calculated powder diffraction line list
Compound: Mn3Ni4Sn
Radiation: a wavelength of 1.5418 Å
Structure: a DFT-relaxed cell (GGA-PBE, the Materials Project)
No peak broadening, texture or thermal motion is included.

Atomic structure:
```
data_Mn3Ni4Sn
_symmetry_space_group_name_H-M 'R -3 m'
_symmetry_Int_Tables_number 166
_symmetry_space_group_name_Hall '-R 3 2"'
_cell_length_a 4.1770
_cell_length_b 4.1770
_cell_length_c 20.8280
_cell_angle_alpha 90.00
_cell_angle_beta 90.00
_cell_angle_gamma 120.00
loop_
_atom_site_label
_atom_site_type_symbol
_atom_site_fract_x
_atom_site_fract_y
_atom_site_fract_z
Mn1 Mn 0.0000 0.0000 0.0000
Mn2 Mn 0.0000 0.0000 0.2522
Ni1 Ni 0.0000 0.0000 0.1190
Ni2 Ni 0.0000 0.0000 0.3710
Sn1 Sn 0.0000 0.0000 0.5000
```

The 10 most intense peaks (10° ≤ 2θ ≤ 80°), low angle first:
Position (°2θ)	I_rel	(hkl)
24.98	5	1 0 1
26.08	6	0 1 2
32.79	7	0 1 5
39.20	4	1 0 7
42.79	100	0 1 8
43.32	100	1 1 0
62.53	30	2 0 8
78.01	14	1 0 16
79.12	30	1 2 8
79.49	15	3 0 0


4.
Calculated powder diffraction line list
Compound: Nd5Si9Au
Radiation: a wavelength of 1.5418 Å
Structure: a DFT-relaxed cell (GGA-PBE, the Materials Project)
No peak broadening, texture or thermal motion is included.

Atomic structure:
```
data_Nd5Si9Au
_symmetry_space_group_name_H-M 'I m m 2'
_symmetry_Int_Tables_number 44
_cell_length_a 4.1713
_cell_length_b 4.2405
_cell_length_c 70.9781
_cell_angle_alpha 90.00
_cell_angle_beta 90.00
_cell_angle_gamma 90.00
loop_
_symmetry_equiv_pos_as_xyz
'x,y,z'
'-x,-y,z'
'-x,y,z'
'x,-y,z'
'x+1/2,y+1/2,z+1/2'
'-x+1/2,-y+1/2,z+1/2'
'-x+1/2,y+1/2,z+1/2'
'x+1/2,-y+1/2,z+1/2'
loop_
_atom_site_label
_atom_site_type_symbol
_atom_site_fract_x
_atom_site_fract_y
_atom_site_fract_z
Nd1 Nd 0.0000 0.0000 0.0000
Nd2 Nd 0.0000 0.0000 0.1981
Nd3 Nd 0.0000 0.0000 0.3985
Nd4 Nd 0.0000 0.0000 0.5971
Nd5 Nd 0.0000 0.0000 0.7967
Nd6 Nd 0.0000 0.5000 0.1472
Nd7 Nd 0.0000 0.5000 0.3454
Nd8 Nd 0.0000 0.5000 0.5477
Nd9 Nd 0.0000 0.5000 0.7477
Nd10 Nd 0.0000 0.5000 0.9462
Si1 Si 0.0000 0.0000 0.0803
Si2 Si 0.0000 0.0000 0.1136
Si3 Si 0.0000 0.0000 0.2805
Si4 Si 0.0000 0.0000 0.3136
Si5 Si 0.0000 0.0000 0.4818
Si6 Si 0.0000 0.0000 0.5147
Si7 Si 0.0000 0.0000 0.6810
Si8 Si 0.0000 0.0000 0.7147
Si9 Si 0.0000 0.0000 0.8809
Si10 Si 0.0000 0.0000 0.9139
Si11 Si 0.0000 0.5000 0.0315
Si12 Si 0.0000 0.5000 0.0644
Si13 Si 0.0000 0.5000 0.2315
Si14 Si 0.0000 0.5000 0.2647
Si15 Si 0.0000 0.5000 0.4310
Si16 Si 0.0000 0.5000 0.6305
Si17 Si 0.0000 0.5000 0.6643
Si18 Si 0.0000 0.5000 0.8300
Au1 Au 0.0000 0.5000 0.4653
Au2 Au 0.0000 0.5000 0.8641
```

The 10 most intense peaks (10° ≤ 2θ ≤ 80°), low angle first:
Position (°2θ)	I_rel	(hkl)
21.87	17	0 1 5
25.09	13	0 0 20
28.53	35	1 0 15
32.65	100	1 1 10
38.15	28	0 1 25
38.35	18	1 0 25
42.64	19	0 2 0
43.39	17	2 0 0
52.11	13	1 2 15
59.12	16	2 1 25


5.
Calculated powder diffraction line list
Compound: NaTi2TlO6
Radiation: a wavelength of 1.5418 Å
Structure: a DFT-relaxed cell (GGA-PBE, the Materials Project)
No peak broadening, texture or thermal motion is included.

Atomic structure:
```
data_NaTi2TlO6
_symmetry_space_group_name_H-M 'I 4 m m'
_symmetry_Int_Tables_number 107
_symmetry_space_group_name_Hall 'I 4 -2'
_cell_length_a 5.4613
_cell_length_b 5.4613
_cell_length_c 8.2194
_cell_angle_alpha 90.00
_cell_angle_beta 90.00
_cell_angle_gamma 90.00
loop_
_atom_site_label
_atom_site_type_symbol
_atom_site_fract_x
_atom_site_fract_y
_atom_site_fract_z
Na1 Na 0.0000 0.0000 0.0000
Ti1 Ti 0.0000 0.5000 0.2412
Tl1 Tl 0.0000 0.0000 0.5205
O1 O 0.0000 0.5000 0.4599
O2 O 0.2465 0.2465 0.7048
```

The 10 most intense peaks (10° ≤ 2θ ≤ 80°), low angle first:
Position (°2θ)	I_rel	(hkl)
19.52	100	1 0 1
31.80	83	1 1 2
32.80	37	2 0 0
36.70	21	1 0 3
38.45	37	2 1 1
39.63	24	2 0 2
47.06	28	2 2 0
50.03	18	2 1 3
56.01	18	2 0 4
57.92	30	3 1 2


6.
Calculated powder diffraction line list
Compound: MgTiH6O2F6
Radiation: a wavelength of 1.5418 Å
Structure: a DFT-relaxed cell (GGA-PBE, the Materials Project)
No peak broadening, texture or thermal motion is included.

Atomic structure:
```
data_MgTiH6O2F6
_symmetry_space_group_name_H-M 'P 3'
_symmetry_Int_Tables_number 143
_cell_length_a 5.8507
_cell_length_b 5.8507
_cell_length_c 5.9962
_cell_angle_alpha 90.00
_cell_angle_beta 90.00
_cell_angle_gamma 120.00
loop_
_symmetry_equiv_pos_as_xyz
'x,y,z'
'-y,x-y,z'
'-x+y,-x,z'
loop_
_atom_site_label
_atom_site_type_symbol
_atom_site_fract_x
_atom_site_fract_y
_atom_site_fract_z
Mg1 Mg 0.0000 0.0000 0.0000
Ti1 Ti 0.3333 0.6667 0.8521
H1 H 0.0152 0.1983 0.6262
H2 H 0.5100 0.1591 0.1974
O1 O 0.0000 0.0000 0.6627
O2 O 0.6667 0.3333 0.2472
F1 F 0.0388 0.4203 0.6313
F2 F 0.0834 0.3447 0.0930
```

The 10 most intense peaks (10° ≤ 2θ ≤ 80°), low angle first:
Position (°2θ)	I_rel	(hkl)
14.77	67	0 0 1
17.50	57	1 0 0
22.98	100	1 0 1
30.56	70	1 1 0
34.10	27	1 1 1
34.77	26	1 0 2
38.58	39	2 0 1
43.21	57	1 1 2
46.96	32	0 2 2
57.07	26	3 -1 2


7.
Calculated powder diffraction line list
Compound: LiEr2Tl
Radiation: a wavelength of 1.5418 Å
Structure: a DFT-relaxed cell (GGA-PBE, the Materials Project)
No peak broadening, texture or thermal motion is included.

Atomic structure:
```
data_LiEr2Tl
_symmetry_space_group_name_H-M 'F m -3 m'
_symmetry_Int_Tables_number 225
_symmetry_space_group_name_Hall '-F 4 2 3'
_cell_length_a 7.4107
_cell_length_b 7.4107
_cell_length_c 7.4107
_cell_angle_alpha 90.00
_cell_angle_beta 90.00
_cell_angle_gamma 90.00
loop_
_atom_site_label
_atom_site_type_symbol
_atom_site_fract_x
_atom_site_fract_y
_atom_site_fract_z
Li1 Li 0.0000 0.0000 0.0000
Er1 Er 0.2500 0.2500 0.2500
Tl1 Tl 0.0000 0.0000 0.5000
```

The 10 most intense peaks (10° ≤ 2θ ≤ 80°), low angle first:
Position (°2θ)	I_rel	(hkl)
20.76	30	1 1 1
24.02	7	2 0 0
34.22	100	2 2 0
40.37	17	3 1 1
49.18	18	4 0 0
53.93	7	3 3 1
61.28	38	4 2 2
65.44	6	5 1 1
72.10	12	4 4 0
75.97	5	5 3 1